# NdCo2GeP
Computed powder X-ray diffraction pattern, CuKα. Input: DFT lattice parameters and positions (GGA-PBE).
Intensities are scaled so that the largest is 100.

Top 8 peaks for 2θ = 10–90°, in order of rising 2θ:
2θ/deg	Rel. int.
24.1	27
35.3	87
36.7	100
45.5	54
51.5	22
58.9	39
65.5	21
78.3	20

Structural model:
Cell: 5.6997 5.6997 5.6997 Å, 139.10 139.10 59.23°
Fractional coordinates of all 5 atoms:
Nd1 0.0000 0.0000 0.0000
Co1 0.2606 0.7606 0.5000
Co2 0.7606 0.2606 0.5000
Ge1 0.6330 0.6330 0.0000
P1 0.3644 0.3644 0.0000



# Nd2CoGe4Pd
Computed powder X-ray diffraction pattern, CuKα. Input: DFT lattice parameters and positions (GGA-PBE).
Intensities are scaled so that the largest is 100.

Top 8 peaks for 2θ = 10–90°, in order of rising 2θ:
2θ/deg	Rel. int.
29.8	30
33.4	100
33.7	48
38.0	33
41.7	35
42.2	34
54.7	24
60.8	23

Structural model:
Cell: 4.3319 8.7400 8.7400 Å, 28.39 90.00 90.00°
Fractional coordinates of all 8 atoms:
Nd1 0.0000 0.0000 0.0000
Nd2 0.5000 0.2143 0.2143
Co1 0.5000 0.4254 0.4254
Ge1 0.0000 0.3660 0.3660
Ge2 0.0000 0.6429 0.6429
Ge3 0.5000 0.5621 0.5621
Ge4 0.5000 0.8645 0.8645
Pd1 0.0000 0.7868 0.7868



# NdCo4Sn2Ge4
Computed powder X-ray diffraction pattern, CuKα. Input: DFT lattice parameters and positions (GGA-PBE).
Intensities are scaled so that the largest is 100.

Top 8 peaks for 2θ = 10–90°, in order of rising 2θ:
2θ/deg	Rel. int.
31.9	57
34.3	100
34.6	32
38.3	48
42.2	46
43.1	27
44.3	35
47.2	25

Structural model:
Cell: 6.3176 6.3176 6.3176 Å, 116.60 116.60 96.01°
Fractional coordinates of all 11 atoms:
Nd1 0.0000 0.0000 0.0000
Co1 0.2422 0.5670 0.0000
Co2 0.4330 0.4330 0.6751
Co3 0.5670 0.2422 0.0000
Co4 0.7578 0.7578 0.3249
Sn1 0.0000 0.5000 0.5000
Sn2 0.5000 0.0000 0.5000
Ge1 0.1247 0.1247 0.6403
Ge2 0.4844 0.4844 0.3597
Ge3 0.5156 0.8753 0.0000
Ge4 0.8753 0.5156 0.0000